Si5P4: simulated X-ray diffraction stick pattern (Cu Kα (λ = 1.5418 Å)), based on DFT lattice parameters and positions (GGA-PBE).
Peak positions follow from Bragg's law for the DFT cell and can differ from measured ones.

Structure:
Lattice parameters (Å, degrees): 7.252 7.252 7.252 92.80 92.80 154.45
Atoms (fractional coordinates):
Si1 0.000 0.000 0.000
Si2 0.322 0.322 0.644
Si3 0.322 0.678 0.000
Si4 0.678 0.322 0.000
Si5 0.678 0.678 0.356
P1 0.000 0.241 0.241
P2 0.000 0.759 0.759
P3 0.241 0.000 0.241
P4 0.759 0.000 0.759

The 12 most intense peaks (5° ≤ 2θ ≤ 70°), low angle first:
2θ (°)  intensity
12.5  944
17.7  212
35.9  261
38.2  199
39.0  1000
43.1  502
46.3  127
47.0  330
51.7  134
57.5  146
58.3  185
66.6  170